Starting from a crystal structure in Alexandria, relaxed with PBE, the powder X-ray diffraction pattern of Ac3YP2N6 was simulated for Cu Kα.
Lines closer than 0.1° are merged.

The 12 most intense peaks (2θ = 10–80°), in order of falling intensity:
30.6°, intensity 1000
31.8°, intensity 911
21.9°, intensity 793
44.7°, intensity 435
55.1°, intensity 382
38.0°, intensity 317
49.5°, intensity 216
54.4°, intensity 209
51.1°, intensity 196
72.9°, intensity 176
57.3°, intensity 174
74.8°, intensity 168

Atomic structure:
Cell lengths 5.8438, 5.8438, 6.7823 Å; angles 90.00, 90.00, 120.00 degrees
Sites, in units of the cell vectors:
Ac1 0.0000 0.0000 0.0000
Ac2 0.3333 0.6667 0.6562
Ac3 0.6667 0.3333 0.3438
Y1 0.0000 0.0000 0.5000
P1 0.3333 0.6667 0.1879
P2 0.6667 0.3333 0.8121
N1 0.1814 0.3627 0.2920
N2 0.1814 0.8186 0.2920
N3 0.3627 0.1814 0.7080
N4 0.6373 0.8186 0.2920
N5 0.8186 0.1814 0.7080
N6 0.8186 0.6373 0.7080


Starting from a crystal structure in Alexandria, relaxed with PBE, the powder X-ray diffraction pattern of CaAl4Au8 was simulated for Cu Kα.
Lines closer than 0.1° are merged.

The 12 most intense peaks (2θ = 10–80°), in order of falling intensity:
27.5°, intensity 1000
42.6°, intensity 927
38.9°, intensity 876
31.9°, intensity 718
39.3°, intensity 448
33.4°, intensity 441
43.8°, intensity 429
71.0°, intensity 374
67.5°, intensity 281
51.5°, intensity 272
61.5°, intensity 230
73.5°, intensity 191

Atomic structure:
Cell lengths 7.0652, 7.0652, 7.0652 Å; angles 99.09, 99.09, 133.15 degrees
Sites, in units of the cell vectors:
Ca1 0.0000 0.0000 0.0000
Al1 0.0000 0.0000 0.5000
Al2 0.0000 0.5000 0.0000
Al3 0.5000 0.0000 0.0000
Al4 0.5000 0.5000 0.5000
Au1 0.0000 0.3252 0.3252
Au2 0.0000 0.6748 0.6748
Au3 0.2777 0.5000 0.7777
Au4 0.3252 0.0000 0.3252
Au5 0.5000 0.2777 0.7777
Au6 0.5000 0.7223 0.2223
Au7 0.6748 0.0000 0.6748
Au8 0.7223 0.5000 0.2223


Starting from a crystal structure in Alexandria, relaxed with PBE, the powder X-ray diffraction pattern of Cu4Ni3 was simulated for Cu Kα.
Lines closer than 0.1° are merged.

The 12 most intense peaks (2θ = 10–80°), in order of falling intensity:
43.5°, intensity 1000
43.7°, intensity 920
44.1°, intensity 850
46.4°, intensity 744
53.0°, intensity 513
47.6°, intensity 238
37.5°, intensity 197
42.6°, intensity 189
72.8°, intensity 178
51.9°, intensity 171
77.6°, intensity 153
73.4°, intensity 150

Atomic structure:
Cell lengths 12.0099, 2.4599, 6.2005 Å; angles 90.00, 116.93, 90.00 degrees
Sites, in units of the cell vectors:
Cu1 0.0779 0.0000 0.2049
Cu2 0.1379 0.5000 0.8999
Cu3 0.3621 0.0000 0.1001
Cu4 0.4221 0.5000 0.7951
Cu5 0.5779 0.5000 0.2049
Cu6 0.6379 0.0000 0.8999
Cu7 0.8621 0.5000 0.1001
Cu8 0.9221 0.0000 0.7951
Ni1 0.0000 0.0000 0.5000
Ni2 0.2214 0.0000 0.6423
Ni3 0.2786 0.5000 0.3577
Ni4 0.5000 0.5000 0.5000
Ni5 0.7214 0.5000 0.6423
Ni6 0.7786 0.0000 0.3577


Starting from a crystal structure in Alexandria, relaxed with PBE, the powder X-ray diffraction pattern of Pa4Ga12Ru was simulated for Cu Kα.
Lines closer than 0.1° are merged.

The 12 most intense peaks (2θ = 10–80°), in order of falling intensity:
36.1°, intensity 1000
41.9°, intensity 619
29.3°, intensity 557
60.7°, intensity 378
72.7°, intensity 327
20.6°, intensity 259
51.9°, intensity 193
47.1°, intensity 178
68.8°, intensity 145
76.5°, intensity 117
64.8°, intensity 100
39.1°, intensity 68

Atomic structure:
Cell lengths 7.4730, 7.4730, 7.4730 Å; angles 109.47, 109.47, 109.47 degrees
Sites, in units of the cell vectors:
Pa1 0.0000 0.0000 0.5000
Pa2 0.0000 0.5000 0.0000
Pa3 0.5000 0.0000 0.0000
Pa4 0.5000 0.5000 0.5000
Ga1 0.0000 0.2934 0.2934
Ga2 0.0000 0.7066 0.7066
Ga3 0.2500 0.5000 0.7500
Ga4 0.2500 0.7500 0.5000
Ga5 0.2934 0.0000 0.2934
Ga6 0.2934 0.2934 0.0000
Ga7 0.5000 0.2500 0.7500
Ga8 0.5000 0.7500 0.2500
Ga9 0.7066 0.0000 0.7066
Ga10 0.7066 0.7066 0.0000
Ga11 0.7500 0.2500 0.5000
Ga12 0.7500 0.5000 0.2500
Ru1 0.0000 0.0000 0.0000


Copy entry 1 word for word.
Starting from a crystal structure in Alexandria, relaxed with PBE, the powder X-ray diffraction pattern of Ac3YP2N6 was simulated for Cu Kα.
Lines closer than 0.1° are merged.

The 12 most intense peaks (2θ = 10–80°), in order of falling intensity:
30.6°, intensity 1000
31.8°, intensity 911
21.9°, intensity 793
44.7°, intensity 435
55.1°, intensity 382
38.0°, intensity 317
49.5°, intensity 216
54.4°, intensity 209
51.1°, intensity 196
72.9°, intensity 176
57.3°, intensity 174
74.8°, intensity 168

Atomic structure:
Cell lengths 5.8438, 5.8438, 6.7823 Å; angles 90.00, 90.00, 120.00 degrees
Sites, in units of the cell vectors:
Ac1 0.0000 0.0000 0.0000
Ac2 0.3333 0.6667 0.6562
Ac3 0.6667 0.3333 0.3438
Y1 0.0000 0.0000 0.5000
P1 0.3333 0.6667 0.1879
P2 0.6667 0.3333 0.8121
N1 0.1814 0.3627 0.2920
N2 0.1814 0.8186 0.2920
N3 0.3627 0.1814 0.7080
N4 0.6373 0.8186 0.2920
N5 0.8186 0.1814 0.7080
N6 0.8186 0.6373 0.7080


Q: Which formula does entry 2 have?
A: CaAl4Au8